(1)
Simulated powder diffraction line list of RbZn13 for λ = 1.5418 Å (Cu Kα), from a DFT-relaxed cell (PBE, the Materials Project).
No peak broadening, texture or thermal motion is included.

Main lines, low angle first (10° ≤ 2θ ≤ 90°):
| two_theta | intensity |
| --- | --- |
| 14.2 | 17 |
| 32.2 | 24 |
| 35.3 | 61 |
| 43.0 | 100 |
| 43.6 | 32 |
| 46.1 | 11 |
| 68.7 | 15 |
| 72.4 | 9 |
| 74.7 | 11 |
| 83.3 | 14 |

Crystal structure
a b c (Å): 8.7997 8.7997 8.7997
angles (deg): 60.00 60.00 60.00
Atoms (fractional coordinates):
Rb (0.2500, 0.2500, 0.2500)
Rb (0.7500, 0.7500, 0.7500)
Zn (0.0000, 0.0000, 0.0000)
Zn (0.0605, 0.2987, 0.7013)
Zn (0.0605, 0.7013, 0.9395)
Zn (0.0605, 0.9395, 0.2987)
Zn (0.2013, 0.4395, 0.7987)
Zn (0.2013, 0.5605, 0.4395)
Zn (0.2013, 0.7987, 0.5605)
Zn (0.2987, 0.0605, 0.9395)
Zn (0.2987, 0.7013, 0.0605)
Zn (0.2987, 0.9395, 0.7013)
Zn (0.4395, 0.2013, 0.5605)
Zn (0.4395, 0.5605, 0.7987)
Zn (0.4395, 0.7987, 0.2013)
Zn (0.5000, 0.5000, 0.5000)
Zn (0.5605, 0.2013, 0.7987)
Zn (0.5605, 0.4395, 0.2013)
Zn (0.5605, 0.7987, 0.4395)
Zn (0.7013, 0.0605, 0.2987)
Zn (0.7013, 0.2987, 0.9395)
Zn (0.7013, 0.9395, 0.0605)
Zn (0.7987, 0.2013, 0.4395)
Zn (0.7987, 0.4395, 0.5605)
Zn (0.7987, 0.5605, 0.2013)
Zn (0.9395, 0.0605, 0.7013)
Zn (0.9395, 0.2987, 0.0605)
Zn (0.9395, 0.7013, 0.2987)

(2)
Simulated powder diffraction line list of LaB2Os2 for λ = 1.5418 Å (Cu Kα), from a DFT-relaxed cell (PBE, the Materials Project).
No peak broadening, texture or thermal motion is included.

Main lines, low angle first (10° ≤ 2θ ≤ 90°):
| two_theta | intensity |
| --- | --- |
| 18.7 | 21 |
| 31.1 | 92 |
| 33.4 | 100 |
| 39.1 | 33 |
| 41.9 | 45 |
| 50.4 | 24 |
| 55.8 | 21 |
| 58.3 | 17 |
| 58.7 | 15 |
| 70.2 | 16 |

Crystal structure
a b c (Å): 6.8840 6.0890 5.6617
angles (deg): 71.62 57.08 51.30
Atoms (fractional coordinates):
La (0.1250, 0.1250, 0.1250)
La (0.8750, 0.8750, 0.8750)
B (0.1933, 0.5567, 0.1933)
B (0.4433, 0.8067, 0.4433)
B (0.5567, 0.1933, 0.5567)
B (0.8067, 0.4433, 0.8067)
Os (0.2388, 0.2388, 0.5112)
Os (0.4888, 0.4888, 0.7612)
Os (0.5112, 0.5112, 0.2388)
Os (0.7612, 0.7612, 0.4888)

(3)
Simulated powder diffraction line list of Zr9Ni2P4 for λ = 1.5418 Å (Cu Kα), from a DFT-relaxed cell (PBE, the Materials Project).
No peak broadening, texture or thermal motion is included.

Main lines, low angle first (10° ≤ 2θ ≤ 90°):
| two_theta | intensity |
| --- | --- |
| 32.0 | 12 |
| 33.7 | 15 |
| 36.2 | 100 |
| 38.0 | 28 |
| 38.5 | 36 |
| 42.4 | 17 |
| 49.2 | 20 |
| 61.3 | 24 |
| 63.8 | 12 |
| 71.0 | 12 |

Crystal structure
a b c (Å): 12.0683 12.0683 3.7054
angles (deg): 90.00 90.00 90.00
Atoms (fractional coordinates):
Zr (0.0000, 0.0000, 0.0000)
Zr (0.0957, 0.4043, 0.0000)
Zr (0.1025, 0.1812, 0.5000)
Zr (0.1196, 0.6196, 0.5000)
Zr (0.1812, 0.8975, 0.5000)
Zr (0.3188, 0.3975, 0.5000)
Zr (0.3804, 0.1196, 0.5000)
Zr (0.3975, 0.6812, 0.5000)
Zr (0.4043, 0.9043, 0.0000)
Zr (0.5000, 0.5000, 0.0000)
Zr (0.5957, 0.0957, 0.0000)
Zr (0.6025, 0.3188, 0.5000)
Zr (0.6196, 0.8804, 0.5000)
Zr (0.6812, 0.6025, 0.5000)
Zr (0.8188, 0.1025, 0.5000)
Zr (0.8804, 0.3804, 0.5000)
Zr (0.8975, 0.8188, 0.5000)
Zr (0.9043, 0.5957, 0.0000)
Ni (0.2462, 0.7462, 0.0000)
Ni (0.2538, 0.2462, 0.0000)
Ni (0.7462, 0.7538, 0.0000)
Ni (0.7538, 0.2538, 0.0000)
P (0.0567, 0.7756, 0.0000)
P (0.2244, 0.0567, 0.0000)
P (0.2756, 0.5567, 0.0000)
P (0.4433, 0.2756, 0.0000)
P (0.5567, 0.7244, 0.0000)
P (0.7244, 0.4433, 0.0000)
P (0.7756, 0.9433, 0.0000)
P (0.9433, 0.2244, 0.0000)

(4)
Simulated powder diffraction line list of K2InGaF6 for λ = 1.5418 Å (Cu Kα), from a DFT-relaxed cell (PBE, the Materials Project).
No peak broadening, texture or thermal motion is included.

Main lines, low angle first (10° ≤ 2θ ≤ 90°):
| two_theta | intensity |
| --- | --- |
| 16.9 | 13 |
| 19.5 | 47 |
| 27.7 | 100 |
| 39.6 | 51 |
| 44.5 | 21 |
| 49.0 | 39 |
| 57.2 | 30 |
| 61.1 | 10 |
| 64.8 | 18 |
| 78.6 | 20 |

Crystal structure
a b c (Å): 6.4371 6.4371 6.4371
angles (deg): 60.00 60.00 60.00
Atoms (fractional coordinates):
K (0.2500, 0.2500, 0.2500)
K (0.7500, 0.7500, 0.7500)
In (0.0000, 0.0000, 0.0000)
Ga (0.5000, 0.5000, 0.5000)
F (0.2319, 0.2319, 0.7681)
F (0.2319, 0.7681, 0.2319)
F (0.2319, 0.7681, 0.7681)
F (0.7681, 0.2319, 0.2319)
F (0.7681, 0.2319, 0.7681)
F (0.7681, 0.7681, 0.2319)

(5)
Simulated powder diffraction line list of MgP4Br12O4 for λ = 1.5418 Å (Cu Kα), from a DFT-relaxed cell (PBE, the Materials Project).
No peak broadening, texture or thermal motion is included.

Main lines, low angle first (10° ≤ 2θ ≤ 90°):
| two_theta | intensity |
| --- | --- |
| 15.6 | 36 |
| 18.0 | 55 |
| 18.1 | 54 |
| 19.9 | 39 |
| 21.4 | 25 |
| 23.1 | 39 |
| 24.4 | 60 |
| 27.4 | 100 |
| 42.5 | 31 |
| 47.9 | 32 |

Crystal structure
a b c (Å): 6.3663 11.0261 11.3869
angles (deg): 89.54 89.78 81.42
Atoms (fractional coordinates):
Mg (0.0000, 0.0000, 0.0000)
P (0.0199, 0.1380, 0.5001)
P (0.2885, 0.6321, 0.5005)
P (0.4753, 0.9633, 0.0017)
P (0.7471, 0.5040, 0.0012)
Br (0.0283, 0.3594, 0.0001)
Br (0.0800, 0.6710, 0.6541)
Br (0.0811, 0.6704, 0.3467)
Br (0.2101, 0.7896, 0.9932)
Br (0.2233, 0.1655, 0.6518)
Br (0.2241, 0.1643, 0.3473)
Br (0.4879, 0.7785, 0.4991)
Br (0.5628, 0.4579, 0.1545)
Br (0.5654, 0.4637, 0.8462)
Br (0.7177, 0.0413, 0.8397)
Br (0.7241, 0.0400, 0.1624)
Br (0.7725, 0.2992, 0.4990)
O (0.2817, 0.0634, 0.0025)
O (0.4102, 0.5071, 0.5015)
O (0.7996, 0.6296, 0.0027)
O (0.9411, 0.0190, 0.5015)

(6)
Simulated powder diffraction line list of BaRe3Se4O7 for λ = 1.5418 Å (Cu Kα), from a DFT-relaxed cell (PBE, the Materials Project).
No peak broadening, texture or thermal motion is included.

Main lines, low angle first (10° ≤ 2θ ≤ 90°):
| two_theta | intensity |
| --- | --- |
| 10.4 | 100 |
| 11.1 | 85 |
| 11.3 | 76 |
| 12.2 | 48 |
| 13.5 | 77 |
| 26.5 | 23 |
| 33.1 | 43 |
| 34.4 | 24 |
| 35.6 | 26 |
| 45.7 | 24 |

Crystal structure
a b c (Å): 8.7048 9.0376 9.2274
angles (deg): 70.41 63.96 79.39
Atoms (fractional coordinates):
Ba (0.1731, 0.1374, 0.2435)
Ba (0.8269, 0.8626, 0.7565)
Re (0.3172, 0.6833, 0.5049)
Re (0.3773, 0.3371, 0.4797)
Re (0.3795, 0.4682, 0.7696)
Re (0.6205, 0.5318, 0.2304)
Re (0.6227, 0.6629, 0.5203)
Re (0.6828, 0.3167, 0.4951)
Se (0.1354, 0.4476, 0.7009)
Se (0.2693, 0.7573, 0.7746)
Se (0.3098, 0.5735, 0.2768)
Se (0.4320, 0.1831, 0.7379)
Se (0.5680, 0.8169, 0.2621)
Se (0.6902, 0.4265, 0.7232)
Se (0.7307, 0.2427, 0.2254)
Se (0.8646, 0.5524, 0.2991)
O (0.0082, 0.8707, 0.1610)
O (0.0502, 0.7423, 0.8813)
O (0.1452, 0.8350, 0.5002)
O (0.1668, 0.8900, 0.0948)
O (0.2883, 0.4275, 0.9929)
O (0.3570, 0.1888, 0.4059)
O (0.4751, 0.0196, 0.0728)
O (0.5249, 0.9804, 0.9272)
O (0.6430, 0.8112, 0.5941)
O (0.7117, 0.5725, 0.0071)
O (0.8332, 0.1100, 0.9052)
O (0.8548, 0.1650, 0.4998)
O (0.9498, 0.2577, 0.1187)
O (0.9918, 0.1293, 0.8390)

(7)
Simulated powder diffraction line list of Be3N2 for λ = 1.5418 Å (Cu Kα), from a DFT-relaxed cell (PBE, the Materials Project).
No peak broadening, texture or thermal motion is included.

Main lines, low angle first (10° ≤ 2θ ≤ 90°):
| two_theta | intensity |
| --- | --- |
| 36.8 | 46 |
| 38.6 | 43 |
| 41.8 | 100 |
| 54.4 | 69 |
| 59.4 | 7 |
| 66.3 | 63 |
| 72.0 | 28 |
| 78.4 | 2 |
| 79.5 | 14 |
| 81.5 | 8 |

Crystal structure
a b c (Å): 2.8178 2.8178 4.6670
angles (deg): 90.00 90.00 120.00
Atoms (fractional coordinates):
Be (0.0000, 0.0000, 0.0000)
Be (0.3333, 0.6667, 0.3504)
Be (0.6667, 0.3333, 0.6496)
N (0.3333, 0.6667, 0.7471)
N (0.6667, 0.3333, 0.2529)

(8)
Simulated powder diffraction line list of Ti2IrW for λ = 1.5418 Å (Cu Kα), from a DFT-relaxed cell (PBE, the Materials Project).
No peak broadening, texture or thermal motion is included.

Main lines, low angle first (10° ≤ 2θ ≤ 90°):
| two_theta | intensity |
| --- | --- |
| 28.5 | 45 |
| 40.7 | 100 |
| 50.5 | 13 |
| 59.0 | 17 |
| 66.8 | 18 |
| 74.1 | 34 |
| 88.2 | 11 |

Crystal structure
a b c (Å): 4.4305 4.4305 4.4305
angles (deg): 60.00 60.00 60.00
Atoms (fractional coordinates):
Ti (0.2500, 0.2500, 0.2500)
Ti (0.7500, 0.7500, 0.7500)
Ir (0.0000, 0.0000, 0.0000)
W (0.5000, 0.5000, 0.5000)